Record 1
The following is a calculated X-ray diffraction stick pattern of K2Li2TiO4. It was derived from a PBE-relaxed structure, using Cu Kα, 1.54184 Å.

Crystal structure
Cell: 5.790 8.528 11.379 Å, 90.00 109.18 90.00°
Space group P2_1/c (No. 14)
One atom of each set of equivalent atoms:
1 K 0.184 0.004 0.342 [4 per cell]
2 K 0.222 0.217 0.605 [4 per cell]
3 Li 0.124 0.019 0.926 [4 per cell]
4 Li 0.393 0.549 0.296 [4 per cell]
5 Ti 0.381 0.706 0.573 [4 per cell]
6 O 0.235 0.531 0.616 [4 per cell]
7 O 0.280 0.690 0.403 [4 per cell]
8 O 0.291 0.168 0.854 [4 per cell]
9 O 0.305 0.597 0.116 [4 per cell]

Peak list (10 most intense, 2θ = 15–90°, low angle first)
hkl 1 1 -2, 2θ = 21.67°, intensity 100
hkl 1 2 0, 2θ = 26.51°, intensity 38
hkl 0 2 2, 2θ = 26.69°, intensity 49
hkl 1 0 -4, 2θ = 31.92°, intensity 39
hkl 2 0 0, 2θ = 32.75°, intensity 99
hkl 2 1 -2, 2θ = 33.21°, intensity 42
hkl 0 0 4, 2θ = 33.35°, intensity 95
hkl 1 2 2, 2θ = 34.20°, intensity 48
hkl 2 1 0, 2θ = 34.45°, intensity 42
hkl 1 3 -1, 2θ = 35.30°, intensity 70



Record 2
The following is a calculated X-ray diffraction stick pattern of Na2Nb4O11. It was derived from a PBE-relaxed structure, using Cu Kα, 1.54184 Å.

Crystal structure
Cell: 11.018 6.251 12.960 Å, 90.00 106.08 90.00°
Space group Cc (No. 9)
One atom of each set of equivalent atoms:
1 Na 0.000 0.243 0.000 [4 per cell]
2 Na 0.168 0.255 0.499 [4 per cell]
3 Nb 0.086 0.120 0.744 [4 per cell]
4 Nb 0.271 0.428 0.256 [4 per cell]
5 Nb 0.328 0.238 0.001 [4 per cell]
6 Nb 0.410 0.072 0.757 [4 per cell]
7 O 0.011 0.141 0.595 [4 per cell]
8 O 0.090 0.494 0.754 [4 per cell]
9 O 0.171 0.135 0.913 [4 per cell]
10 O 0.214 0.126 0.254 [4 per cell]
11 O 0.248 0.251 0.721 [4 per cell]
12 O 0.251 0.403 0.097 [4 per cell]
13 O 0.324 0.490 0.411 [4 per cell]
14 O 0.358 0.014 0.597 [4 per cell]
15 O 0.433 0.093 0.912 [4 per cell]
16 O 0.436 0.252 0.287 [4 per cell]
17 O 0.471 0.369 0.754 [4 per cell]

Peak list (10 most intense, 2θ = 15–90°, low angle first)
hkl 2 0 0, 2θ = 16.75°, intensity 25
hkl 1 1 -1, 2θ = 17.00°, intensity 52
hkl 0 0 4, 2θ = 28.67°, intensity 84
hkl 3 1 -2, 2θ = 29.10°, intensity 100
hkl 0 2 1, 2θ = 29.46°, intensity 51
hkl 3 1 1, 2θ = 31.63°, intensity 46
hkl 3 1 -3, 2θ = 31.78°, intensity 45
hkl 0 2 2, 2θ = 32.04°, intensity 37
hkl 3 3 -1, 2θ = 50.35°, intensity 44
hkl 3 1 -7, 2θ = 52.92°, intensity 30



Record 3
The following is a calculated X-ray diffraction stick pattern of AgAu3. It was derived from a PBE-relaxed structure, using Cu Kα, 1.54184 Å.

Crystal structure
Cell: 4.170 4.170 4.170 Å, 90.00 90.00 90.00°
Space group Pm-3m (No. 221)
One atom of each set of equivalent atoms:
1 Ag 0.000 0.000 0.000 [1 per cell]
2 Au 0.000 0.500 0.500 [3 per cell]

Peak list (10 most intense, 2θ = 15–90°, low angle first)
hkl 1 0 0, 2θ = 21.31°, intensity 4
hkl 1 1 0, 2θ = 30.31°, intensity 4
hkl 1 1 1, 2θ = 37.35°, intensity 100
hkl 2 0 0, 2θ = 43.40°, intensity 49
hkl 2 1 0, 2θ = 48.83°, intensity 2
hkl 2 1 1, 2θ = 53.85°, intensity 2
hkl 2 2 0, 2θ = 63.05°, intensity 33
hkl 3 0 0, 2θ = 67.37°, intensity 1
hkl 3 1 1, 2θ = 75.63°, intensity 39
hkl 2 2 2, 2θ = 79.64°, intensity 11



Record 4
The following is a calculated X-ray diffraction stick pattern of MgSc2O4. It was derived from a PBE-relaxed structure, using Cu Kα, 1.54184 Å.

Crystal structure
Cell: 9.329 3.076 10.900 Å, 90.00 90.00 90.00°
Space group Pnma (No. 62)
One atom of each set of equivalent atoms:
1 Mg 0.243 0.250 0.146 [4 per cell]
2 Sc 0.070 0.250 0.383 [4 per cell]
3 Sc 0.085 0.250 0.893 [4 per cell]
4 O 0.023 0.750 0.786 [4 per cell]
5 O 0.087 0.250 0.578 [4 per cell]
6 O 0.132 0.750 0.031 [4 per cell]
7 O 0.208 0.750 0.313 [4 per cell]

Peak list (10 most intense, 2θ = 15–90°, low angle first)
hkl 2 0 0, 2θ = 19.03°, intensity 26
hkl 0 0 4, 2θ = 32.87°, intensity 46
hkl 3 0 2, 2θ = 33.17°, intensity 85
hkl 2 1 0, 2θ = 34.88°, intensity 100
hkl 1 1 3, 2θ = 39.58°, intensity 33
hkl 4 0 2, 2θ = 42.15°, intensity 32
hkl 2 1 4, 2θ = 48.73°, intensity 54
hkl 4 1 0, 2θ = 49.02°, intensity 31
hkl 0 2 0, 2θ = 60.17°, intensity 27
hkl 4 1 4, 2θ = 60.28°, intensity 22



Record 5
The following is a calculated X-ray diffraction stick pattern of ZnH2O2. It was derived from a PBE-relaxed structure, using Cu Kα, 1.54184 Å.

Crystal structure
Cell: 4.799 8.805 5.056 Å, 90.00 90.38 90.00°
Space group P2_1 (No. 4)
One atom of each set of equivalent atoms:
1 Zn 0.180 0.000 0.140 [2 per cell]
2 Zn 0.314 0.748 0.645 [2 per cell]
3 H 0.019 0.464 0.327 [2 per cell]
4 H 0.222 0.276 0.127 [2 per cell]
5 H 0.286 0.471 0.638 [2 per cell]
6 H 0.495 0.280 0.821 [2 per cell]
7 O 0.050 0.894 0.817 [2 per cell]
8 O 0.131 0.547 0.608 [2 per cell]
9 O 0.374 0.199 0.100 [2 per cell]
10 O 0.438 0.852 0.319 [2 per cell]

Peak list (10 most intense, 2θ = 15–90°, low angle first)
hkl 0 1 1, 2θ = 20.25°, intensity 100
hkl 1 1 0, 2θ = 21.08°, intensity 79
hkl 0 2 1, 2θ = 26.85°, intensity 25
hkl 1 2 0, 2θ = 27.49°, intensity 73
hkl 1 1 1, 2θ = 27.64°, intensity 33
hkl 1 2 -1, 2θ = 32.73°, intensity 27
hkl 1 2 1, 2θ = 32.87°, intensity 24
hkl 1 0 -2, 2θ = 40.18°, intensity 34
hkl 1 0 2, 2θ = 40.44°, intensity 19
hkl 2 2 -2, 2θ = 56.73°, intensity 18



Record 6
The following is a calculated X-ray diffraction stick pattern of Cu2As3. It was derived from a PBE-relaxed structure, using Cu Kα, 1.54184 Å.

Crystal structure
Cell: 4.0573 4.0573 6.0902 Å, 90.00 90.00 120.00°
Space group P-3m1 (No. 164)
One atom of each set of equivalent atoms:
1 Cu 0.3333 0.6667 0.2830 [2 per cell]
2 As 0.0000 0.0000 0.5000 [1 per cell]
3 As 0.3333 0.6667 0.8507 [2 per cell]

Peak list (10 most intense, 2θ = 15–90°, low angle first)
hkl 1 0 0, 2θ = 25.35°, intensity 13
hkl 1 0 1, 2θ = 29.34°, intensity 51
hkl 1 0 2, 2θ = 39.15°, intensity 100
hkl 1 1 0, 2θ = 44.67°, intensity 85
hkl 0 1 3, 2θ = 52.03°, intensity 18
hkl 0 2 1, 2θ = 54.34°, intensity 14
hkl 0 2 2, 2θ = 60.87°, intensity 26
hkl 2 1 2, 2θ = 78.58°, intensity 26
hkl 3 0 0, 2θ = 82.33°, intensity 13
hkl 2 0 4, 2θ = 84.12°, intensity 13



Record 7
The following is a calculated X-ray diffraction stick pattern of ErZrF7. It was derived from a PBE-relaxed structure, using Cu Kα, 1.54184 Å.

Crystal structure
Cell: 6.086 5.701 8.271 Å, 90.00 102.35 90.00°
Space group P2_1 (No. 4)
One atom of each set of equivalent atoms:
1 Er 0.154 0.000 0.183 [2 per cell]
2 Zr 0.312 0.990 0.724 [2 per cell]
3 F 0.042 0.206 0.713 [2 per cell]
4 F 0.046 0.308 0.022 [2 per cell]
5 F 0.119 0.693 0.720 [2 per cell]
6 F 0.255 0.996 0.473 [2 per cell]
7 F 0.360 0.988 0.976 [2 per cell]
8 F 0.421 0.270 0.266 [2 per cell]
9 F 0.457 0.756 0.260 [2 per cell]

Peak list (10 most intense, 2θ = 15–90°, low angle first)
hkl 1 1 0, 2θ = 21.60°, intensity 100
hkl 0 0 2, 2θ = 22.00°, intensity 36
hkl 1 1 1, 2θ = 25.71°, intensity 25
hkl 0 1 2, 2θ = 27.05°, intensity 17
hkl 1 1 -2, 2θ = 28.58°, intensity 30
hkl 0 2 0, 2θ = 31.38°, intensity 14
hkl 2 2 -1, 2θ = 43.77°, intensity 15
hkl 2 2 -2, 2θ = 46.44°, intensity 13
hkl 2 2 1, 2θ = 47.15°, intensity 17
hkl 3 1 -1, 2θ = 47.60°, intensity 15